The following is a simulated PXRD pattern of CeMg14B. It was derived from a DFT-relaxed cell (PBE, the Materials Project), using a wavelength of 1.5418 Å.
Peak positions follow from Bragg's law for the DFT cell and can differ from measured ones.

Atomic structure:
```
data_CeMg14B
_chemical_formula_sum 'Ce2 Mg28 B2'
_cell_length_a 10.1735
_cell_length_b 6.4084
_cell_length_c 11.1011
_cell_angle_alpha 90.00
_cell_angle_beta 90.00
_cell_angle_gamma 90.00
_space_group_name_H-M_alt 'A m m 2'
_space_group_IT_number 38
_space_group_name_Hall 'A 2 -2'
loop_
_atom_site_label
_atom_site_fract_x
_atom_site_fract_y
_atom_site_fract_z
Ce1 0.0000 0.0000 0.0000
Mg1 0.0000 0.0000 0.4896
Mg2 0.0000 0.2350 0.2549
Mg3 0.2336 0.0000 0.6662
Mg4 0.2713 0.0000 0.1593
Mg5 0.2717 0.2393 0.9199
Mg6 0.5000 0.0000 0.5062
Mg7 0.5000 0.2405 0.7467
B1 0.5000 0.0000 0.9996
```

Main lines, sorted by position (2θ = 15–90°):
| Position (°2θ) | intensity | index |
| --- | --- | --- |
| 15.97 | 23 | 0 0 2 |
| 18.21 | 46 | 1 1 1 |
| 29.22 | 20 | 1 2 0 |
| 30.90 | 21 | 3 0 2 |
| 32.26 | 27 | 0 2 2 |
| 35.29 | 23 | 4 0 0 |
| 36.90 | 100 | 2 0 4 |
| 57.52 | 17 | 0 4 0 |
| 64.38 | 18 | 6 0 4 |
| 69.32 | 17 | 4 4 0 |

---

The following is a simulated PXRD pattern of Li2CuSb. It was derived from a DFT-relaxed cell (PBE, the Materials Project), using a wavelength of 1.5418 Å.
Peak positions follow from Bragg's law for the DFT cell and can differ from measured ones.

Atomic structure:
```
data_Li2CuSb
_chemical_formula_sum 'Li8 Cu4 Sb4'
_cell_length_a 6.3337
_cell_length_b 6.3337
_cell_length_c 6.3337
_cell_angle_alpha 90.00
_cell_angle_beta 90.00
_cell_angle_gamma 90.00
_space_group_name_H-M_alt 'F -4 3 m'
_space_group_IT_number 216
_space_group_name_Hall 'F -4 2 3'
loop_
_atom_site_label
_atom_site_fract_x
_atom_site_fract_y
_atom_site_fract_z
Li1 0.0000 0.0000 0.0000
Li2 0.2500 0.2500 0.2500
Cu1 0.2500 0.2500 0.7500
Sb1 0.0000 0.0000 0.5000
```

Main lines, sorted by position (2θ = 15–90°):
| Position (°2θ) | intensity | index |
| --- | --- | --- |
| 24.34 | 100 | 1 1 1 |
| 28.18 | 8 | 2 0 0 |
| 40.27 | 90 | 2 2 0 |
| 47.62 | 48 | 3 1 1 |
| 58.27 | 15 | 4 0 0 |
| 64.09 | 19 | 3 3 1 |
| 65.96 | 3 | 4 2 0 |
| 73.21 | 29 | 4 2 2 |
| 78.46 | 14 | 5 1 1 |
| 87.03 | 9 | 4 4 0 |

---

The following is a simulated PXRD pattern of Nd4MgTa4Ti4O24. It was derived from a DFT-relaxed cell (PBE, the Materials Project), using a wavelength of 1.5418 Å.
Peak positions follow from Bragg's law for the DFT cell and can differ from measured ones.

Atomic structure:
```
data_Nd4MgTa4Ti4O24
_chemical_formula_sum 'Nd4 Mg1 Ta4 Ti4 O24'
_cell_length_a 5.3481
_cell_length_b 7.7011
_cell_length_c 11.3976
_cell_angle_alpha 90.07
_cell_angle_beta 92.31
_cell_angle_gamma 90.24
_space_group_name_H-M_alt 'P 1'
_space_group_IT_number 1
_space_group_name_Hall 'P 1'
loop_
_atom_site_label
_atom_site_fract_x
_atom_site_fract_y
_atom_site_fract_z
Nd1 0.0000 0.0000 0.0000
Nd2 0.0838 0.5019 0.9033
Nd3 0.5168 0.5040 0.4045
Nd4 0.6054 0.0048 0.4210
Mg1 0.7166 0.0255 0.6776
Ta1 0.0211 0.7491 0.2967
Ta2 0.1070 0.2664 0.5865
Ta3 0.5003 0.2581 0.0929
Ta4 0.5769 0.7477 0.8126
Ti1 0.0217 0.2539 0.3024
Ti2 0.0940 0.7519 0.5846
Ti3 0.5045 0.7443 0.0863
Ti4 0.5685 0.2582 0.8252
O1 0.1153 0.5022 0.2970
O2 0.1733 0.2009 0.1561
O3 0.1783 0.8024 0.1519
O4 0.2062 0.5066 0.5716
O5 0.2909 0.2230 0.4234
O6 0.2954 0.2177 0.9265
O7 0.2947 0.7855 0.4180
O8 0.3007 0.7867 0.9208
O9 0.3943 0.5028 0.0646
O10 0.4256 0.1894 0.6623
O11 0.4294 0.8260 0.6611
O12 0.4886 0.5022 0.8059
O13 0.5905 0.0051 0.0904
O14 0.6708 0.3055 0.2413
O15 0.6717 0.7004 0.2360
O16 0.6895 0.0024 0.8421
O17 0.7745 0.2948 0.9745
O18 0.7777 0.7112 0.9703
O19 0.8273 0.2912 0.4624
O20 0.8310 0.7179 0.4592
O21 0.9075 0.7157 0.7284
O22 0.9097 0.2851 0.7253
O23 0.9368 0.0029 0.3074
O24 0.9747 0.0054 0.5696
```

Main lines, sorted by position (2θ = 15–90°):
| Position (°2θ) | intensity | index |
| --- | --- | --- |
| 19.39 | 62 | 0 1 2 |
| 21.45 | 28 | -1 1 1 |
| 27.98 | 36 | 0 2 2 |
| 28.28 | 52 | 1 0 -3 |
| 29.41 | 100 | 1 0 3 |
| 29.52 | 43 | 1 2 -1 |
| 29.77 | 42 | 1 -2 1 |
| 29.90 | 35 | 1 2 1 |
| 33.54 | 44 | 2 0 0 |
| 47.21 | 36 | 0 4 0 |

---

The following is a simulated PXRD pattern of Zr2N2O. It was derived from a DFT-relaxed cell (PBE, the Materials Project), using a wavelength of 1.5418 Å.
Peak positions follow from Bragg's law for the DFT cell and can differ from measured ones.

Atomic structure:
```
data_Zr2N2O
_chemical_formula_sum 'Zr16 N16 O8'
_cell_length_a 8.8651
_cell_length_b 8.8799
_cell_length_c 8.8803
_cell_angle_alpha 109.49
_cell_angle_beta 109.35
_cell_angle_gamma 109.52
_space_group_name_H-M_alt 'P 1'
_space_group_IT_number 1
_space_group_name_Hall 'P 1'
loop_
_atom_site_label
_atom_site_fract_x
_atom_site_fract_y
_atom_site_fract_z
Zr1 0.0000 0.0000 0.0000
Zr2 0.0031 0.5140 0.5020
Zr3 0.0419 0.2192 0.7521
Zr4 0.2218 0.6919 0.9700
Zr5 0.2366 0.9621 0.7107
Zr6 0.2632 0.4737 0.2303
Zr7 0.2838 0.2563 0.4662
Zr8 0.4658 0.7259 0.6844
Zr9 0.4917 0.4295 0.9283
Zr10 0.5111 0.9437 0.4333
Zr11 0.5364 0.2269 0.2663
Zr12 0.7207 0.1902 0.9768
Zr13 0.7444 0.9824 0.2179
Zr14 0.7542 0.4737 0.7188
Zr15 0.7881 0.7620 0.4745
Zr16 0.9600 0.7124 0.1757
N1 0.0136 0.9646 0.7543
N2 0.0267 0.7371 0.4454
N3 0.2076 0.4588 0.4477
N4 0.2437 0.2018 0.6758
N5 0.2619 0.7469 0.7650
N6 0.2829 0.2324 0.2031
N7 0.2987 0.4867 0.9937
N8 0.4794 0.9377 0.1775
N9 0.5144 0.2024 0.4982
N10 0.5214 0.7033 0.4584
N11 0.7194 0.9263 0.9462
N12 0.7416 0.5092 0.4859
N13 0.7617 0.4392 0.9603
N14 0.7885 0.0232 0.4922
N15 0.7954 0.2457 0.2497
N16 0.9930 0.7458 0.9500
O1 0.0242 0.0055 0.2675
O2 0.2148 0.7105 0.2317
O3 0.4798 0.2117 0.9901
O4 0.4907 0.9862 0.6896
O5 0.5251 0.5196 0.7326
O6 0.7096 0.7030 0.1847
O7 0.9761 0.4266 0.7089
O8 0.9770 0.2485 0.9803
```

Main lines, sorted by position (2θ = 15–90°):
| Position (°2θ) | intensity | index |
| --- | --- | --- |
| 21.23 | 13 | 1 0 -2 |
| 30.20 | 100 | 1 1 -3 |
| 35.02 | 28 | 2 2 -2 |
| 37.21 | 6 | -2 3 1 |
| 41.31 | 5 | 1 1 2 |
| 45.09 | 8 | 0 4 -1 |
| 50.34 | 25 | 0 4 0 |
| 50.41 | 13 | 4 0 -4 |
| 59.82 | 15 | -3 5 1 |
| 59.91 | 11 | 5 1 -3 |